(1)
For Pm3Pr5Sm4, DFT lattice parameters and positions (PBE) gives the computed X-ray diffraction stick pattern in this record (copper Kα).

Crystal structure
abc: 6.3602 7.3315 9.0013
angles: 90.02 90.09 90.02
Space group P-1 (No. 2)
Inequivalent atoms, fractional coordinates:
Pm 0.0000 0.0000 0.0000
Pm 0.1667 0.7486 0.6656
Pr 0.0000 0.5000 0.0000
Pr 0.3320 0.0005 0.3345
Pr 0.4999 0.2507 0.9998
Sm 0.1665 0.2510 0.6657
Sm 0.3335 0.5004 0.3352

Principal peaks in the range 15° ≤ 2θ ≤ 90°, sorted by position:
Position (°2θ)	Rel. int.
29.81	100
34.56	51
49.66	30
49.75	6
58.96	18
59.05	25
61.88	6
61.95	6
80.67	12
83.24	7

(2)
For NdSmIn4, DFT lattice parameters and positions (PBE) gives the computed X-ray diffraction stick pattern in this record (copper Kα).

Crystal structure
abc: 5.0323 5.3080 12.3129
angles: 90.00 90.00 90.00
Space group Cmmm (No. 65)
Inequivalent atoms, fractional coordinates:
Nd 0.0000 0.0000 0.0000
Sm 0.0000 0.5000 0.5000
In 0.0000 0.0000 0.3253
In 0.0000 0.5000 0.1788

Principal peaks in the range 15° ≤ 2θ ≤ 90°, sorted by position:
Position (°2θ)	Rel. int.
32.83	100
33.77	24
35.68	20
44.13	10
49.95	15
56.70	10
57.99	9
59.81	17
62.30	15
68.82	11